Starting from DFT lattice parameters and positions (PBE), the powder XRD pattern of TbTiFe10 was computed for Cu Kα.

Cell and atoms:
```
TbTiFe10
1.0
3.983 0.000 0.000
0.000 4.844 0.000
0.000 0.000 8.380
Tb Ti Fe
1 1 10
direct
0.000 0.000 0.000
0.000 0.500 0.500
0.000 0.000 0.344
0.000 0.000 0.656
0.000 0.500 0.181
0.000 0.500 0.819
0.500 0.000 0.500
0.500 0.252 0.258
0.500 0.252 0.742
0.500 0.500 0.000
0.500 0.748 0.258
0.500 0.748 0.742
```

Principal peaks in the range 10° ≤ 2θ ≤ 90°, most intense first:
43.8°, I = 100, hkl 1 2 0; 31.0°, I = 36, hkl 1 1 1; 43.2°, I = 33, hkl 0 0 4; 45.6°, I = 30, hkl 2 0 0; 37.1°, I = 27, hkl 0 2 0; 71.6°, I = 20, hkl 1 3 3; 64.5°, I = 19, hkl 2 0 4; 49.1°, I = 15, hkl 1 2 2; 79.1°, I = 15, hkl 0 4 0; 83.0°, I = 14, hkl 3 2 0